Li2VOF3: calculated powder diffraction line list (Cu Kα, 1.54184 Å), based on a DFT-relaxed cell (PBE+U, Alexandria).
Peak positions follow from Bragg's law for the DFT cell and can differ from measured ones.

```
Li2VOF3
1.0
6.0232 0.0000 0.0000
0.0000 5.0538 0.0000
-2.4569 0.0000 4.8969
Li V O F
4 2 2 6
direct
0.0000 0.2322 0.0000
0.0000 0.7678 0.5000
0.7253 0.2328 0.4392
0.7253 0.7672 0.9392
0.3019 0.2247 0.5832
0.3019 0.7753 0.0832
0.1797 0.0431 0.8004
0.1797 0.9569 0.3004
0.4247 0.4426 0.3357
0.4247 0.5574 0.8357
0.6678 0.1008 0.7560
0.6678 0.8992 0.2560
0.9634 0.4116 0.3613
0.9634 0.5884 0.8613
```

Most intense lines, 10° ≤ 2θ ≤ 80°, sorted by position:
Position (°2θ), d [Å], intensity, (hkl)
16.47, 5.384, 56, 1 0 0
25.36, 3.512, 100, 0 1 1
32.69, 2.739, 14, 1 0 -2
37.87, 2.376, 25, 2 1 0
40.16, 2.245, 18, 0 2 1
41.16, 2.193, 16, 2 1 -2
48.78, 1.867, 16, 2 1 1
49.03, 1.858, 15, 1 2 -2
52.01, 1.758, 16, 0 2 2
63.36, 1.468, 15, 2 3 -1